[1]
The following is a computed PXRD pattern of LiPaAs2O6. It was derived from DFT lattice parameters and positions (GGA-PBE), using a wavelength of 1.5418 Å.
Kinematic intensities with the Lorentz-polarization factor, no thermal factor.

Top 10 peaks for 2θ from 10° to 90°, sorted by position:
2θ 17.33, rel. 35; 2θ 18.68, rel. 100; 2θ 24.00, rel. 18; 2θ 28.51, rel. 83; 2θ 30.14, rel. 24; 2θ 30.48, rel. 42; 2θ 35.70, rel. 37; 2θ 37.81, rel. 22; 2θ 42.30, rel. 19; 2θ 45.77, rel. 23

Structural model:
```
LiPaAs2O6
1.0
5.379 0.000 0.000
0.000 10.125 0.000
0.000 0.000 5.930
Li Pa As O
2 2 4 12
Cartesian
0.000 0.000 0.000
2.689 5.063 2.965
0.000 5.063 0.000
2.689 0.000 2.965
0.484 3.226 2.965
2.205 8.289 0.000
3.173 1.836 0.000
4.895 6.899 2.965
1.040 6.906 0.000
1.261 4.238 1.654
1.261 4.238 4.276
1.428 9.301 1.311
1.428 9.301 4.619
1.650 1.843 2.965
3.729 8.282 2.965
3.951 0.824 1.311
3.951 0.824 4.619
4.118 5.887 1.654
4.118 5.887 4.276
4.339 3.219 0.000
```

---

[2]
The following is a computed PXRD pattern of AcLa3PrTm. It was derived from DFT lattice parameters and positions (GGA-PBE), using a wavelength of 1.5418 Å.
Kinematic intensities with the Lorentz-polarization factor, no thermal factor.

Top 10 peaks for 2θ from 10° to 90°, sorted by position:
2θ 15.38, rel. 16; 2θ 25.27, rel. 20; 2θ 28.48, rel. 31; 2θ 28.98, rel. 49; 2θ 29.41, rel. 34; 2θ 29.85, rel. 100; 2θ 31.62, rel. 53; 2θ 32.17, rel. 57; 2θ 33.22, rel. 53; 2θ 42.75, rel. 18

Structural model:
```
AcLa3PrTm
1.0
10.576 -2.995 0.000
10.576 2.995 0.000
-0.190 0.000 7.114
Ac La Pr Tm
2 6 2 2
Cartesian
3.149 0.000 0.220
17.813 0.000 6.894
0.170 0.000 5.311
5.815 0.000 5.092
7.150 0.000 1.805
13.811 0.000 5.310
15.146 0.000 2.023
20.791 0.000 1.803
9.231 0.000 5.114
11.730 0.000 2.000
2.885 0.000 3.497
18.076 0.000 3.617
```

---

[3]
The following is a computed PXRD pattern of H3Pd4Au2. It was derived from DFT lattice parameters and positions (GGA-PBE), using a wavelength of 1.5418 Å.
Kinematic intensities with the Lorentz-polarization factor, no thermal factor.

Top 10 peaks for 2θ from 10° to 90°, sorted by position:
2θ 12.04, rel. 82; 2θ 32.84, rel. 42; 2θ 35.16, rel. 100; 2θ 36.33, rel. 46; 2θ 36.68, rel. 81; 2θ 38.41, rel. 77; 2θ 41.27, rel. 93; 2θ 44.14, rel. 47; 2θ 44.91, rel. 53; 2θ 47.17, rel. 43

Structural model:
```
H3Pd4Au2
1.0
-1.388 2.722 7.351
1.388 -2.722 7.351
1.388 2.722 -7.351
H Pd Au
3 4 2
Cartesian
0.000 0.000 0.000
0.000 0.000 6.127
0.000 0.000 8.575
1.388 -1.352 5.990
0.000 1.370 1.361
1.388 1.352 5.990
0.000 4.074 1.361
1.388 0.000 3.481
0.000 2.722 3.869
```

---

[4]
The following is a computed PXRD pattern of Ti7Sb2H2Se. It was derived from DFT lattice parameters and positions (GGA-PBE), using a wavelength of 1.5418 Å.
Kinematic intensities with the Lorentz-polarization factor, no thermal factor.

Top 10 peaks for 2θ from 10° to 90°, sorted by position:
2θ 25.25, rel. 15; 2θ 31.59, rel. 23; 2θ 32.62, rel. 19; 2θ 35.54, rel. 21; 2θ 40.00, rel. 100; 2θ 40.39, rel. 16; 2θ 45.28, rel. 46; 2θ 62.27, rel. 16; 2θ 65.97, rel. 14; 2θ 80.03, rel. 24

Structural model:
```
Ti7Sb2H2Se
1.0
-2.003 2.003 11.166
2.003 -2.003 11.166
2.003 2.003 -11.166
Ti Sb H Se
7 2 2 1
Cartesian
0.000 0.000 0.000
2.003 0.000 1.999
0.000 0.000 4.343
2.003 0.000 9.167
0.000 2.003 1.999
0.000 0.000 17.989
0.000 2.003 9.167
0.000 0.000 7.131
0.000 0.000 15.202
0.000 0.000 2.026
0.000 0.000 20.306
0.000 0.000 11.166
```

---

[5]
The following is a computed PXRD pattern of TbHoEr2. It was derived from DFT lattice parameters and positions (GGA-PBE), using a wavelength of 1.5418 Å.
Kinematic intensities with the Lorentz-polarization factor, no thermal factor.

Top 10 peaks for 2θ from 10° to 90°, sorted by position:
2θ 28.68, rel. 24; 2θ 32.05, rel. 24; 2θ 32.94, rel. 100; 2θ 43.54, rel. 16; 2θ 50.81, rel. 20; 2θ 57.69, rel. 20; 2θ 61.34, rel. 23; 2θ 61.89, rel. 16; 2θ 84.05, rel. 9; 2θ 88.72, rel. 8

Structural model:
```
TbHoEr2
1.0
-1.799 5.586 3.110
1.799 -5.586 3.110
1.799 5.586 -3.110
Tb Ho Er
1 1 2
Cartesian
0.000 0.000 0.000
0.000 5.586 0.005
1.799 2.797 -1.039
0.000 2.789 2.070
```

---

[6]
The following is a computed PXRD pattern of HfZn5. It was derived from DFT lattice parameters and positions (GGA-PBE), using a wavelength of 1.5418 Å.
Kinematic intensities with the Lorentz-polarization factor, no thermal factor.

Top 10 peaks for 2θ from 10° to 90°, sorted by position:
2θ 39.09, rel. 100; 2θ 43.88, rel. 18; 2θ 44.72, rel. 17; 2θ 47.69, rel. 14; 2θ 64.45, rel. 11; 2θ 66.80, rel. 10; 2θ 77.43, rel. 13; 2θ 78.62, rel. 12; 2θ 82.98, rel. 10; 2θ 84.00, rel. 10

Structural model:
```
HfZn5
1.0
2.027 -5.720 0.000
2.027 5.720 0.000
0.000 0.000 4.127
Hf Zn
1 5
Cartesian
0.000 0.000 0.000
2.027 3.820 2.063
2.027 2.045 0.000
2.027 0.000 2.063
2.027 -2.045 0.000
2.027 -3.820 2.063
```

---

[7]
The following is a computed PXRD pattern of BaCr2Tc. It was derived from DFT lattice parameters and positions (GGA-PBE), using a wavelength of 1.5418 Å.
Kinematic intensities with the Lorentz-polarization factor, no thermal factor.

Top 10 peaks for 2θ from 10° to 90°, sorted by position:
2θ 14.43, rel. 22; 2θ 25.05, rel. 74; 2θ 29.10, rel. 66; 2θ 31.43, rel. 95; 2θ 34.74, rel. 85; 2θ 43.26, rel. 100; 2θ 52.99, rel. 70; 2θ 56.03, rel. 40; 2θ 56.63, rel. 20; 2θ 89.13, rel. 22

Structural model:
```
BaCr2Tc
1.0
2.091 1.208 6.137
-2.091 1.208 6.137
0.000 -2.415 6.137
Ba Cr Tc
1 2 1
Cartesian
0.000 0.000 0.000
0.000 0.000 9.142
0.000 0.000 14.898
0.000 0.000 3.558
```

---

[8]
The following is a computed PXRD pattern of CrGeSe3. It was derived from DFT lattice parameters and positions (GGA-PBE), using a wavelength of 1.5418 Å.
Kinematic intensities with the Lorentz-polarization factor, no thermal factor.

Top 10 peaks for 2θ from 10° to 90°, sorted by position:
2θ 18.71, rel. 22; 2θ 29.40, rel. 21; 2θ 33.03, rel. 51; 2θ 33.81, rel. 100; 2θ 47.43, rel. 15; 2θ 47.62, rel. 32; 2θ 48.36, rel. 32; 2θ 49.67, rel. 17; 2θ 60.95, rel. 16; 2θ 71.12, rel. 10

Structural model:
```
CrGeSe3
1.0
6.577 0.000 0.000
0.000 3.671 0.000
-0.070 0.000 9.486
Cr Ge Se
2 2 6
Cartesian
0.431 0.918 3.166
6.075 2.753 6.319
2.765 0.918 6.584
3.741 2.753 2.902
0.495 0.918 7.703
1.444 2.753 4.676
2.499 0.918 1.689
4.008 2.753 7.797
5.062 0.918 4.810
6.012 2.753 1.783
```

---

What did the first record say?
The following is a computed PXRD pattern of LiPaAs2O6. It was derived from DFT lattice parameters and positions (GGA-PBE), using a wavelength of 1.5418 Å.
Kinematic intensities with the Lorentz-polarization factor, no thermal factor.

Top 10 peaks for 2θ from 10° to 90°, sorted by position:
2θ 17.33, rel. 35; 2θ 18.68, rel. 100; 2θ 24.00, rel. 18; 2θ 28.51, rel. 83; 2θ 30.14, rel. 24; 2θ 30.48, rel. 42; 2θ 35.70, rel. 37; 2θ 37.81, rel. 22; 2θ 42.30, rel. 19; 2θ 45.77, rel. 23

Structural model:
```
LiPaAs2O6
1.0
5.379 0.000 0.000
0.000 10.125 0.000
0.000 0.000 5.930
Li Pa As O
2 2 4 12
Cartesian
0.000 0.000 0.000
2.689 5.063 2.965
0.000 5.063 0.000
2.689 0.000 2.965
0.484 3.226 2.965
2.205 8.289 0.000
3.173 1.836 0.000
4.895 6.899 2.965
1.040 6.906 0.000
1.261 4.238 1.654
1.261 4.238 4.276
1.428 9.301 1.311
1.428 9.301 4.619
1.650 1.843 2.965
3.729 8.282 2.965
3.951 0.824 1.311
3.951 0.824 4.619
4.118 5.887 1.654
4.118 5.887 4.276
4.339 3.219 0.000
```